This entry pairs a crystal structure of Gd2DyNi2B2N3 with its calculated XRD peak list. Radiation: Cu Kα, 1.54184 Å. Structure: a crystal structure in OQMD, relaxed with PBE.
Peak positions follow from Bragg's law for the DFT cell and can differ from measured ones.

Most intense lines, 10 to 90 degrees two-theta, sorted by position:
- 2θ = 28.78°, I = 100.0
- 2θ = 33.97°, I = 83.2
- 2θ = 35.78°, I = 51.8
- 2θ = 36.29°, I = 40.2
- 2θ = 37.42°, I = 43.0
- 2θ = 40.64°, I = 32.8
- 2θ = 52.26°, I = 37.7
- 2θ = 60.76°, I = 26.5
- 2θ = 63.81°, I = 28.0
- 2θ = 64.96°, I = 34.9

Crystal structure
Cell lengths 10.339, 10.339, 10.339 Å; angles 160.51, 160.51, 27.71 degrees
Fractional coordinates of all 10 atoms:
Gd 0.123 0.123 0.000
Gd 0.877 0.877 0.000
Dy 0.500 0.500 0.000
Ni 0.250 0.750 0.500
Ni 0.750 0.250 0.500
B 0.310 0.310 0.000
B 0.690 0.690 0.000
N 0.000 0.000 0.000
N 0.383 0.383 0.000
N 0.617 0.617 0.000